Computed XRD peak list of Li2VF5 for CuKα, from the GGA+U geometry in Alexandria.

Top 12 peaks for 2θ = 15–90°, low angle first:
d = 4.960 Å, I = 100; d = 3.741 Å, I = 45; d = 3.559 Å, I = 64; d = 3.453 Å, I = 56; d = 3.313 Å, I = 44; d = 2.334 Å, I = 20; d = 2.123 Å, I = 18; d = 2.118 Å, I = 29; d = 2.023 Å, I = 31; d = 1.938 Å, I = 22; d = 1.871 Å, I = 23; d = 1.281 Å, I = 15

Unit cell a=8.093 b=6.626 c=7.482 alpha=90.00 beta=90.00 gamma=90.00
Space group Pna2_1 (No. 33)
Unique sites:
1 Li 0.122 0.160 0.000
2 Li 0.124 0.732 0.283
3 V 0.125 0.253 0.474
4 F 0.090 0.962 0.454
5 F 0.122 0.274 0.221
6 F 0.125 0.720 0.012
7 F 0.126 0.254 0.742
8 F 0.162 0.544 0.474